Record 1
Structure and simulated powder diffractogram of La3Dy7Tm (DFT lattice parameters and positions (GGA-PBE); Cu Kα (λ = 1.5418 Å)).

Cell and atoms:
Lattice parameters (Å, degrees): 7.0946 7.0946 8.7695 90.00 90.00 120.00
Fractional coordinates of all 11 atoms:
La  0.0003  0.5002  0.0000
La  0.4998  0.9997  0.0000
La  0.4998  0.5002  0.0000
Dy  0.1674  0.3348  0.3409
Dy  0.1674  0.8326  0.3409
Dy  0.3346  0.1673  0.6604
Dy  0.6652  0.8326  0.3409
Dy  0.6667  0.3333  0.3413
Dy  0.8327  0.1673  0.6604
Dy  0.8327  0.6654  0.6604
Tm  0.3333  0.6667  0.6590

Most intense lines, 2θ from 10° to 90°, sorted by position:
2theta  intensity
30.58  33
30.84  100
35.69  69
51.19  24
51.53  24
60.81  15
61.12  28
61.27  14

Record 2
Structure and simulated powder diffractogram of ThIn5Hg6 (DFT lattice parameters and positions (GGA-PBE); Cu Kα (λ = 1.5418 Å)).

Cell and atoms:
Lattice parameters (Å, degrees): 4.9704 7.7461 8.2319 90.00 101.52 90.00
Fractional coordinates of all 12 atoms:
Th  0.0000  0.0000  0.0000
In  0.0000  0.5000  0.0000
In  0.3494  0.5000  0.6554
In  0.3841  0.0000  0.6864
In  0.6159  0.0000  0.3136
In  0.6506  0.5000  0.3446
Hg  0.1376  0.2421  0.3390
Hg  0.1376  0.7579  0.3390
Hg  0.5000  0.2712  0.0000
Hg  0.5000  0.7288  0.0000
Hg  0.8624  0.2421  0.6610
Hg  0.8624  0.7579  0.6610

Most intense lines, 2θ from 10° to 90°, sorted by position:
2theta  intensity
32.83  100
33.32  49
34.74  87
36.35  36
46.92  18
47.30  17
58.00  21
58.76  18

Record 3
Structure and simulated powder diffractogram of AcH6Pd3 (DFT lattice parameters and positions (GGA-PBE); Cu Kα (λ = 1.5418 Å)).

Cell and atoms:
Lattice parameters (Å, degrees): 5.8499 5.8499 5.8499 50.81 50.81 50.81
Fractional coordinates of all 10 atoms:
Ac  0.0000  0.0000  0.0000
H  0.0559  0.5635  0.5360
H  0.1948  0.5438  0.8375
H  0.5360  0.0559  0.5635
H  0.5438  0.8375  0.1948
H  0.5635  0.5360  0.0559
H  0.8375  0.1948  0.5438
Pd  0.2022  0.2022  0.2022
Pd  0.4608  0.4608  0.4608
Pd  0.7850  0.7850  0.7850

Most intense lines, 2θ from 10° to 90°, sorted by position:
2theta  intensity
21.25  36
31.21  80
35.78  100
35.98  52
48.20  24
61.45  23
64.42  19
66.61  21

Record 4
Structure and simulated powder diffractogram of Zr4MnCo (DFT lattice parameters and positions (GGA-PBE); Cu Kα (λ = 1.5418 Å)).

Cell and atoms:
Lattice parameters (Å, degrees): 5.2886 5.2886 5.2886 106.89 106.89 114.76
Fractional coordinates of all 6 atoms:
Zr  0.0731  0.5731  0.1463
Zr  0.4269  0.9269  0.8537
Zr  0.5731  0.4269  0.5000
Zr  0.9269  0.0731  0.5000
Mn  0.0000  0.0000  0.0000
Co  0.5000  0.5000  0.0000

Most intense lines, 2θ from 10° to 90°, sorted by position:
2theta  intensity
31.38  16
35.54  100
37.45  22
42.78  49
45.53  27
58.59  23
62.98  26
71.66  19

Record 5
Structure and simulated powder diffractogram of Ho3Si6PdPt2 (DFT lattice parameters and positions (GGA-PBE); Cu Kα (λ = 1.5418 Å)).

Cell and atoms:
Lattice parameters (Å, degrees): 5.2221 5.2221 9.3715 90.00 90.00 120.00
Fractional coordinates of all 12 atoms:
Ho  0.0000  0.0000  0.0000
Ho  0.3333  0.6667  0.5780
Ho  0.6667  0.3333  0.4220
Si  0.1659  0.3318  0.2789
Si  0.1659  0.8341  0.2789
Si  0.3318  0.1659  0.7211
Si  0.6682  0.8341  0.2789
Si  0.8341  0.1659  0.7211
Si  0.8341  0.6682  0.7211
Pd  0.0000  0.0000  0.5000
Pt  0.3333  0.6667  0.0718
Pt  0.6667  0.3333  0.9282

Most intense lines, 2θ from 10° to 90°, sorted by position:
2theta  intensity
18.94  46
27.41  96
34.35  100
39.51  89
43.50  66
44.49  37
57.38  25
67.87  35

Record 6
Structure and simulated powder diffractogram of Ce5In3 (DFT lattice parameters and positions (GGA-PBE); Cu Kα (λ = 1.5418 Å)).

Cell and atoms:
Lattice parameters (Å, degrees): 10.3381 10.3381 10.3381 153.59 153.59 37.69
Fractional coordinates of all 8 atoms:
Ce  0.0000  0.0000  0.0000
Ce  0.2343  0.2343  0.0000
Ce  0.6318  0.1318  0.5000
Ce  0.7657  0.7657  0.0000
Ce  0.8682  0.3682  0.5000
In  0.1220  0.6220  0.5000
In  0.3780  0.8780  0.5000
In  0.5000  0.5000  0.0000

Most intense lines, 2θ from 10° to 90°, sorted by position:
2theta  intensity
32.46  100
36.74  15
38.11  34
53.98  20
55.00  12
63.49  9
65.33  26
67.98  10